No. 1
Te2I3: simulated XRD peak list (a wavelength of 1.5418 Å), based on the PBE geometry in Alexandria.
Intensities are scaled so that the largest is 100.

Principal peaks in the range 10° ≤ 2θ ≤ 90°, by angle:
hkl  2theta  intensity
2 2 0  14.41  64
2 4 0  16.52  88
1 5 1  25.75  51
1 7 1  28.24  100
1 9 1  31.26  86
4 14 0  43.41  43

a b c (Å): 12.987 38.082 4.069
angles (deg): 90.00 90.00 90.00
Space group Fdd2 (No. 43)
One atom of each set of equivalent atoms:
Te: 0.033 0.276 0.000 x16
I: 0.000 0.000 0.750 x8
I: 0.071 0.339 0.504 x16

---

No. 2
SmZn3Ni: simulated XRD peak list (a wavelength of 1.5418 Å), based on the PBE geometry in Alexandria.
Intensities are scaled so that the largest is 100.

Principal peaks in the range 10° ≤ 2θ ≤ 90°, by angle:
hkl  2theta  intensity
1 3 1  32.84  29
0 0 2  34.85  24
2 2 1  38.34  100
1 5 0  42.23  19
0 4 2  47.46  30
2 2 3  64.81  19

a b c (Å): 5.941 11.470 5.149
angles (deg): 90.00 90.00 90.00
Space group Cmcm (No. 63)
One atom of each set of equivalent atoms:
Sm: 0.000 0.118 0.250 x4
Zn: 0.000 0.313 0.750 x4
Zn: 0.235 0.367 0.250 x8
Ni: 0.000 0.500 0.000 x4

---

No. 3
RbGa2PbCl8: simulated XRD peak list (a wavelength of 1.5418 Å), based on the PBE geometry in Alexandria.
Intensities are scaled so that the largest is 100.

Principal peaks in the range 10° ≤ 2θ ≤ 90°, by angle:
hkl  2theta  intensity
1 0 4  19.33  100
1 1 0  26.21  47
0 1 8  28.67  37
1 1 6  32.06  35
2 -1 12  45.70  37
3 0 0  46.25  32

a b c (Å): 6.7990 6.7990 29.3447
angles (deg): 90.00 90.00 120.00
Space group R-3 (No. 148, hexagonal axes)
One atom of each set of equivalent atoms:
Rb: 0.0000 0.0000 0.0000 x3
Ga: 0.0000 0.0000 0.2538 x6
Pb: 0.0000 0.0000 0.5000 x3
Cl: 0.0000 0.0000 0.3301 x6
Cl: 0.0076 0.3567 0.4388 x18

---

No. 4
Pm7Sm4Dy: simulated XRD peak list (a wavelength of 1.5418 Å), based on the PBE geometry in Alexandria.
Intensities are scaled so that the largest is 100.

Principal peaks in the range 10° ≤ 2θ ≤ 90°, by angle:
hkl  2theta  intensity
1 -2 0  28.35  36
0 0 3  30.48  50
2 0 -2  31.30  100
2 0 1  32.96  86
0 4 0  49.82  38
3 2 2  59.54  45

a b c (Å): 6.339 7.324 9.048
angles (deg): 90.03 103.49 90.01
Space group P-1 (No. 2)
One atom of each set of equivalent atoms:
Pm: 0.000 0.000 0.000 x1
Pm: 0.222 0.500 0.667 x2
Pm: 0.278 0.250 0.332 x2
Pm: 0.500 0.250 0.000 x2
Sm: 0.223 0.000 0.667 x2
Sm: 0.278 0.750 0.331 x2
Dy: 0.000 0.500 0.000 x1

---

No. 5
Y2PaTl2S6: simulated XRD peak list (a wavelength of 1.5418 Å), based on the PBE geometry in Alexandria.
Intensities are scaled so that the largest is 100.

Principal peaks in the range 10° ≤ 2θ ≤ 90°, by angle:
hkl  2theta  intensity
1 1 0  15.21  37
0 0 2  23.42  26
2 0 0  26.77  50
1 3 1  30.08  100
1 3 -3  40.90  25
0 6 0  45.10  34

a b c (Å): 6.966 12.061 7.951
angles (deg): 90.00 107.19 90.00
Space group C2/m (No. 12)
One atom of each set of equivalent atoms:
Y: 0.000 0.166 0.000 x4
Pa: 0.000 0.500 0.000 x2
Tl: 0.000 0.332 0.500 x4
S: 0.228 0.335 0.194 x8
S: 0.239 0.000 0.195 x4

---

No. 6
PmSm7Sc2: simulated XRD peak list (a wavelength of 1.5418 Å), based on the PBE geometry in Alexandria.
Intensities are scaled so that the largest is 100.

Principal peaks in the range 10° ≤ 2θ ≤ 90°, by angle:
hkl  2theta  intensity
0 4 1  28.20  88
2 4 0  30.74  100
0 0 2  31.84  72
3 1 1  34.55  76
1 5 1  34.84  62
2 4 2  44.85  75

a b c (Å): 8.946 15.312 5.622
angles (deg): 90.00 90.00 90.00
Space group Cmmm (No. 65)
One atom of each set of equivalent atoms:
Pm: 0.000 0.000 0.000 x2
Sm: 0.000 0.248 0.000 x4
Sm: 0.000 0.500 0.500 x2
Sm: 0.183 0.122 0.500 x8
Sc: 0.000 0.297 0.500 x4

---

No. 7
SmUSb: simulated XRD peak list (a wavelength of 1.5418 Å), based on the PBE geometry in Alexandria.
Intensities are scaled so that the largest is 100.

Principal peaks in the range 10° ≤ 2θ ≤ 90°, by angle:
hkl  2theta  intensity
2 0 0  10.51  37
6 0 0  31.89  50
3 1 -1  33.05  95
3 1 1  33.74  100
0 0 2  37.59  27
0 2 0  45.73  24

a b c (Å): 16.850 3.968 4.789
angles (deg): 90.00 92.15 90.00
Space group C2/m (No. 12)
One atom of each set of equivalent atoms:
Sm: 0.074 0.000 0.253 x4
U: 0.242 0.500 0.326 x4
Sb: 0.106 0.500 0.763 x4